LiV2P2HO9: calculated PXRD pattern (Cu Ka), based on a DFT-relaxed cell (GGA+U, Alexandria).
Lines closer than 0.1° are merged.

Structure:
```
data_LiV2P2HO9
_symmetry_space_group_name_H-M 'P 1'
_symmetry_Int_Tables_number 1
_cell_length_a 6.5014
_cell_length_b 6.6979
_cell_length_c 8.8779
_cell_angle_alpha 90.00
_cell_angle_beta 109.12
_cell_angle_gamma 90.00
loop_
_symmetry_equiv_pos_as_xyz
'x,y,z'
loop_
_atom_site_label
_atom_site_fract_x
_atom_site_fract_y
_atom_site_fract_z
Li1 0.1059 0.2500 0.3318
Li2 0.8941 0.7500 0.6682
V1 0.4733 0.2500 0.7955
V2 0.5000 0.0000 0.5000
V3 0.5000 0.5000 0.5000
V4 0.5267 0.7500 0.2045
P1 0.0817 0.7500 0.2974
P2 0.4152 0.2500 0.1584
P3 0.5848 0.7500 0.8416
P4 0.9183 0.2500 0.7026
H1 0.0402 0.7500 0.0374
H2 0.9598 0.2500 0.9626
O1 0.1622 0.2500 0.7683
O2 0.1670 0.2500 0.1166
O3 0.1682 0.7500 0.1448
O4 0.1729 0.5592 0.3927
O5 0.1729 0.9408 0.3927
O6 0.4076 0.2500 0.5571
O7 0.4830 0.7500 0.9752
O8 0.4882 0.5595 0.7358
O9 0.4882 0.9405 0.7358
O10 0.5118 0.0595 0.2642
O11 0.5118 0.4405 0.2642
O12 0.5170 0.2500 0.0248
O13 0.5924 0.7500 0.4429
O14 0.8271 0.0592 0.6073
O15 0.8271 0.4408 0.6073
O16 0.8318 0.2500 0.8552
O17 0.8330 0.7500 0.8834
O18 0.8378 0.7500 0.2317
```

Principal peaks in the range 10° ≤ 2θ ≤ 90°, by angle:
two_theta  Rel. int.  (hkl)
14.4  100  1 0 0
14.8  22  1 0 -1
16.9  43  0 1 1
26.6  18  0 2 0
28.7  37  0 2 1
29.1  26  2 0 0
30.5  30  1 0 -3
32.0  17  0 0 3
34.3  22  0 2 2
44.2  17  3 0 0